Structure and calculated X-ray diffraction stick pattern of Ce4Al16Ni3 (the PBE geometry in Alexandria; λ = 1.5418 Å (Cu Kα)).
Kinematic intensities with the Lorentz-polarization factor, no thermal factor.

Top 6 peaks for 15 to 90 degrees two-theta, sorted by position:
- 2θ = 20.5°, rel. 82.7, hkl 1 1 0
- 2θ = 29.2°, rel. 39.7, hkl 2 0 0
- 2θ = 31.6°, rel. 85.8, hkl 1 1 3
- 2θ = 38.0°, rel. 100.0, hkl 2 0 3
- 2θ = 41.7°, rel. 69.6, hkl 2 2 0
- 2θ = 53.3°, rel. 44.7, hkl 3 1 3

Atomic structure:
Cell: 6.1196 6.1196 11.2357 Å, 90.00 90.00 90.00°
Space group P4/mmm (No. 123)
Inequivalent atoms, fractional coordinates:
Ce (0.0000, 0.5000, 0.1914) x4
Al (0.0000, 0.0000, 0.1987) x2
Al (0.2212, 0.2212, 0.0000) x4
Al (0.2466, 0.2466, 0.3824) x8
Al (0.5000, 0.5000, 0.2210) x2
Ni (0.0000, 0.5000, 0.5000) x2
Ni (0.5000, 0.5000, 0.0000) x1